(1)
# SrLa3Pd
Simulated powder XRD pattern, Cu Kα, 1.54184 Å. Input: a GGA-PBE-relaxed structure.

Cell and atoms:
Cell lengths 5.863, 5.863, 5.863 Å; angles 90.00, 90.00, 90.00 degrees
Space group Pm-3m (No. 221)
Inequivalent atoms, fractional coordinates:
Sr (0.000, 0.000, 0.000)
La (0.000, 0.500, 0.500)
Pd (0.500, 0.500, 0.500)

Most intense lines, 2θ from 5° to 70°, in order of rising 2θ:
2θ/deg, I/Imax
15.1, 36.6
21.4, 4.9
26.3, 80.0
30.5, 100.0
34.2, 19.6
43.7, 74.2
46.5, 10.4
51.7, 37.5
54.2, 26.1
63.5, 12.1
65.7, 5.8
69.9, 15.1

---

(2)
# LaTb2Pd
Simulated powder XRD pattern, Cu Kα, 1.54184 Å. Input: a GGA-PBE-relaxed structure.

Cell and atoms:
Cell lengths 7.180, 9.875, 6.613 Å; angles 90.00, 90.00, 90.00 degrees
Space group Pnma (No. 62)
Inequivalent atoms, fractional coordinates:
La (0.020, 0.250, 0.138)
Tb (0.177, 0.061, 0.670)
Pd (0.116, 0.750, 0.423)

Most intense lines, 2θ from 5° to 70°, in order of rising 2θ:
2θ/deg, I/Imax
29.7, 83.6
30.3, 83.5
30.8, 68.6
31.1, 100.0
32.9, 58.1
33.7, 73.4
35.0, 56.0
37.0, 51.4
40.1, 34.5
46.9, 28.8
55.0, 32.9
55.7, 30.8

---

(3)
# LaTb2Pd9
Simulated powder XRD pattern, Cu Kα, 1.54184 Å. Input: a GGA-PBE-relaxed structure.

Cell and atoms:
Cell lengths 4.176, 4.176, 12.448 Å; angles 90.00, 90.00, 90.00 degrees
Space group P4/mmm (No. 123)
Inequivalent atoms, fractional coordinates:
La (0.000, 0.000, 0.000)
Tb (0.000, 0.000, 0.337)
Pd (0.000, 0.500, 0.172)
Pd (0.000, 0.500, 0.500)
Pd (0.500, 0.500, 0.000)
Pd (0.500, 0.500, 0.335)

Most intense lines, 2θ from 5° to 70°, in order of rising 2θ:
2θ/deg, I/Imax
7.1, 1.0
21.3, 1.6
21.4, 0.8
30.3, 2.0
37.4, 100.0
43.3, 33.0
43.6, 15.9
48.8, 0.8
53.8, 0.6
63.0, 10.7
63.2, 20.8

---

(4)
# La2TbPd4
Simulated powder XRD pattern, Cu Kα, 1.54184 Å. Input: a GGA-PBE-relaxed structure.

Cell and atoms:
Cell lengths 8.998, 5.762, 7.956 Å; angles 90.00, 118.74, 90.00 degrees
Space group C2/m (No. 12)
Inequivalent atoms, fractional coordinates:
La (0.225, 0.000, 0.329)
Tb (0.000, 0.500, 0.000)
Pd (0.152, 0.000, 0.660)
Pd (0.250, 0.250, 0.000)

Most intense lines, 2θ from 5° to 70°, in order of rising 2θ:
2θ/deg, I/Imax
19.7, 35.4
22.5, 79.7
25.9, 80.8
27.3, 57.2
31.0, 51.7
37.1, 54.1
37.6, 65.2
38.7, 93.5
40.0, 100.0
40.6, 69.2
44.4, 68.3
53.4, 38.7

---

(5)
# La3Te4Pd3
Simulated powder XRD pattern, Cu Kα, 1.54184 Å. Input: a GGA-PBE-relaxed structure.

Cell and atoms:
Cell lengths 10.102, 10.102, 10.102 Å; angles 90.00, 90.00, 90.00 degrees
Space group I-43d (No. 220)
Inequivalent atoms, fractional coordinates:
La (0.000, 0.250, 0.375)
Te (0.082, 0.082, 0.082)
Pd (0.000, 0.250, 0.875)

Most intense lines, 2θ from 5° to 70°, in order of rising 2θ:
2θ/deg, I/Imax
27.9, 26.6
33.2, 100.0
39.9, 37.0
41.9, 8.7
43.9, 16.0
45.8, 11.6
49.4, 9.3
56.1, 10.2
57.7, 12.8
62.3, 8.3
63.8, 9.3
68.2, 12.1

---

(6)
# La3Te4Pd
Simulated powder XRD pattern, Cu Kα, 1.54184 Å. Input: a GGA-PBE-relaxed structure.

Cell and atoms:
Cell lengths 4.626, 13.730, 9.027 Å; angles 90.00, 90.00, 90.00 degrees
Space group Pmmn (No. 59, origin choice 2)
Inequivalent atoms, fractional coordinates:
La (0.250, 0.092, 0.172)
La (0.250, 0.750, 0.299)
Te (0.250, 0.070, 0.789)
Te (0.250, 0.250, 0.440)
Te (0.250, 0.750, 0.910)
Pd (0.250, 0.250, 0.923)

Most intense lines, 2θ from 5° to 70°, in order of rising 2θ:
2θ/deg, I/Imax
9.8, 77.4
12.9, 40.2
23.6, 33.5
27.4, 76.8
29.2, 32.5
30.6, 58.4
34.0, 100.0
36.2, 31.5
38.3, 54.6
38.9, 53.5
39.4, 47.1
56.6, 32.4

---

(7)
# LaTh2Pd7
Simulated powder XRD pattern, Cu Kα, 1.54184 Å. Input: a GGA-PBE-relaxed structure.

Cell and atoms:
Cell lengths 5.842, 8.707, 17.126 Å; angles 90.00, 90.00, 90.00 degrees
Space group Fmmm (No. 69)
Inequivalent atoms, fractional coordinates:
La (0.000, 0.000, 0.000)
Th (0.000, 0.000, 0.330)
Pd (0.000, 0.000, 0.500)
Pd (0.250, 0.250, 0.085)
Pd (0.250, 0.250, 0.250)

Most intense lines, 2θ from 5° to 70°, in order of rising 2θ:
2θ/deg, I/Imax
19.0, 20.3
24.1, 74.6
37.1, 100.0
37.7, 94.8
38.0, 23.3
41.5, 36.5
44.4, 59.8
50.6, 10.5
51.6, 9.6
62.4, 43.2
63.7, 11.5
65.4, 9.2

---

(8)
# LaTlPd
Simulated powder XRD pattern, Cu Kα, 1.54184 Å. Input: a GGA-PBE-relaxed structure.

Cell and atoms:
Cell lengths 14.129, 3.972, 8.092 Å; angles 90.00, 90.00, 90.00 degrees
Space group Pmma (No. 51)
Inequivalent atoms, fractional coordinates:
La (0.047, 0.000, 0.232)
La (0.250, 0.000, 0.852)
Tl (0.117, 0.500, 0.574)
Tl (0.250, 0.500, 0.192)
Pd (0.095, 0.500, 0.940)
Pd (0.250, 0.000, 0.452)

Most intense lines, 2θ from 5° to 70°, in order of rising 2θ:
2θ/deg, I/Imax
31.5, 100.0
32.2, 30.3
33.6, 35.9
33.8, 17.7
34.0, 33.4
34.1, 34.5
38.2, 16.7
38.5, 21.0
40.8, 17.4
45.7, 26.9
55.9, 15.5
62.0, 20.4

---

(9)
# La4TlPd
Simulated powder XRD pattern, Cu Kα, 1.54184 Å. Input: a GGA-PBE-relaxed structure.

Cell and atoms:
Cell lengths 14.480, 14.480, 14.480 Å; angles 90.00, 90.00, 90.00 degrees
Space group F-43m (No. 216)
Inequivalent atoms, fractional coordinates:
La (0.000, 0.000, 0.187)
La (0.054, 0.250, 0.750)
La (0.101, 0.101, 0.399)
Tl (0.167, 0.167, 0.167)
Pd (0.107, 0.107, 0.607)

Most intense lines, 2θ from 5° to 70°, in order of rising 2θ:
2θ/deg, I/Imax
10.6, 9.4
26.8, 10.8
30.2, 45.8
32.1, 100.0
35.1, 31.4
36.7, 8.0
48.3, 8.8
53.7, 41.4
54.9, 14.7
64.0, 19.5
65.8, 6.3
66.8, 7.8

---

(10)
# LaTl3Pd3
Simulated powder XRD pattern, Cu Kα, 1.54184 Å. Input: a GGA-PBE-relaxed structure.

Cell and atoms:
Cell lengths 9.192, 4.570, 9.201 Å; angles 90.00, 119.93, 90.00 degrees
Space group P2_1/m (No. 11)
Inequivalent atoms, fractional coordinates:
La (0.166, 0.250, 0.333)
Tl (0.223, 0.250, 0.762)
Tl (0.262, 0.750, 0.040)
Tl (0.461, 0.750, 0.723)
Pd (0.041, 0.250, 0.936)
Pd (0.105, 0.750, 0.540)
Pd (0.436, 0.750, 0.395)

Most intense lines, 2θ from 5° to 70°, in order of rising 2θ:
2θ/deg, I/Imax
19.3, 13.5
27.5, 19.2
29.7, 32.1
29.8, 24.0
33.8, 13.1
35.7, 100.0
39.4, 28.0
40.8, 18.6
45.6, 11.5
54.0, 15.3
58.1, 13.4
69.1, 14.6

---

(11)
# La3TlZn2Pd9
Simulated powder XRD pattern, Cu Kα, 1.54184 Å. Input: a GGA-PBE-relaxed structure.

Cell and atoms:
Cell lengths 5.7124, 5.7124, 12.2127 Å; angles 90.00, 90.00, 120.00 degrees
Space group P-3m1 (No. 164)
Inequivalent atoms, fractional coordinates:
La (0.0000, 0.0000, 0.0000)
La (0.3333, 0.6667, 0.7544)
Tl (0.0000, 0.0000, 0.5000)
Zn (0.3333, 0.6667, 0.1594)
Pd (0.0000, 0.5000, 0.0000)
Pd (0.1649, 0.3297, 0.3141)

Most intense lines, 2θ from 5° to 70°, in order of rising 2θ:
2θ/deg, I/Imax
19.4, 30.6
21.8, 28.9
23.1, 28.4
29.3, 17.9
31.3, 12.4
37.1, 46.8
38.5, 22.5
39.3, 100.0
41.2, 18.4
47.3, 31.7
65.3, 23.9
69.8, 12.8

---

(12)
# LaTm2Pd2
Simulated powder XRD pattern, Cu Kα, 1.54184 Å. Input: a GGA-PBE-relaxed structure.

Cell and atoms:
Cell lengths 6.304, 7.058, 7.722 Å; angles 95.24, 113.95, 116.36 degrees
Space group P-1 (No. 2)
Inequivalent atoms, fractional coordinates:
La (0.117, 0.249, 0.252)
Tm (0.173, 0.384, 0.797)
Tm (0.495, 0.117, 0.705)
Pd (0.285, 0.665, 0.537)
Pd (0.415, 0.165, 0.038)

Most intense lines, 2θ from 5° to 70°, in order of rising 2θ:
2θ/deg, I/Imax
18.2, 21.5
28.4, 47.7
29.1, 40.8
29.2, 41.2
31.4, 100.0
32.9, 30.3
36.7, 40.0
37.8, 31.8
37.9, 30.2
38.3, 23.6
38.8, 31.5
42.9, 31.5

---

(13)
# La2TmPd4
Simulated powder XRD pattern, Cu Kα, 1.54184 Å. Input: a GGA-PBE-relaxed structure.

Cell and atoms:
Cell lengths 6.034, 8.256, 15.387 Å; angles 90.00, 90.00, 90.00 degrees
Space group Fmmm (No. 69)
Inequivalent atoms, fractional coordinates:
La (0.000, 0.000, 0.139)
Tm (0.000, 0.000, 0.500)
Pd (0.000, 0.000, 0.323)
Pd (0.250, 0.250, 0.000)

Most intense lines, 2θ from 5° to 70°, in order of rising 2θ:
2θ/deg, I/Imax
11.5, 44.3
21.5, 50.6
24.5, 20.8
25.2, 25.9
29.6, 22.9
31.8, 36.1
34.5, 55.3
35.0, 40.0
36.9, 100.0
43.9, 30.7
46.8, 24.5
51.8, 52.0